Computed powder diffraction line list of KNa7Tl5 for Cu Kα X-rays, from a GGA-PBE-relaxed structure.
Neutral-atom scattering factors, no anomalous dispersion.

Structural model:
Lattice parameters (Å, degrees): 8.6401 8.6401 8.6401 134.58 99.02 98.12
Element x y z (fractional)
K: 0.0000 0.0000 0.0000
Na: 0.2168 0.5067 0.7101
Na: 0.2384 0.7384 0.5000
Na: 0.3483 0.3483 0.0000
Na: 0.3619 0.0183 0.3436
Na: 0.6722 0.6722 0.0000
Na: 0.6748 0.0183 0.6564
Na: 0.7967 0.5067 0.2899
Tl: 0.0117 0.0073 0.4943
Tl: 0.0117 0.5173 0.0044
Tl: 0.5130 0.0073 0.9956
Tl: 0.5130 0.5173 0.5057
Tl: 0.7837 0.2837 0.5000

Principal peaks in the range 10° ≤ 2θ ≤ 80°, sorted by position:
2θ = 15.7°, rel. 100; 2θ = 15.8°, rel. 36; 2θ = 22.3°, rel. 32; 2θ = 31.2°, rel. 77; 2θ = 31.6°, rel. 46; 2θ = 31.9°, rel. 28; 2θ = 35.1°, rel. 80; 2θ = 35.7°, rel. 34; 2θ = 45.0°, rel. 32; 2θ = 58.9°, rel. 22